Entry 1:
For Tl17InSn11, DFT lattice parameters and positions (PBE) gives the theoretical powder XRD pattern in this record (copper Kα).

The 10 most intense peaks (5 to 70 degrees two-theta), by angle:
2θ = 29.6°, d 3.023, I = 8, (4 0 -2); 2θ = 31.3°, d 2.857, I = 39, (0 6 0); 2θ = 31.4°, d 2.848, I = 100, (0 0 3); 2θ = 34.7°, d 2.582, I = 12, (3 5 -2); 2θ = 34.9°, d 2.573, I = 12, (2 0 2); 2θ = 36.4°, d 2.466, I = 8, (4 0 0); 2θ = 38.0°, d 2.370, I = 8, (3 5 -3); 2θ = 55.7°, d 1.649, I = 11, (1 9 -3); 2θ = 55.9°, d 1.646, I = 14, (2 6 3); 2θ = 55.9°, d 1.644, I = 14, (7 3 -4)

Structural model:
Cell: 12.0675 17.1642 10.4382 Å, 90.00 125.17 90.00°
Space group Cm (No. 8)
Asymmetric unit:
Tl (0.0000, 0.0000, 0.0000) (multiplicity 2)
Tl (0.0011, 0.0000, 0.3569) (multiplicity 2)
Tl (0.0566, 0.3417, 0.4000) (multiplicity 4)
Tl (0.1418, 0.5000, 0.6408) (multiplicity 2)
Tl (0.1567, 0.1574, 0.6014) (multiplicity 4)
Tl (0.1773, 0.1779, 0.9995) (multiplicity 4)
Tl (0.1844, 0.5000, 0.2847) (multiplicity 2)
Tl (0.2986, 0.3000, 0.3144) (multiplicity 4)
Tl (0.4006, 0.0000, 0.7153) (multiplicity 2)
Tl (0.4590, 0.1431, 0.0010) (multiplicity 4)
Tl (0.4831, 0.1999, 0.6838) (multiplicity 4)
In (0.1884, 0.0000, 0.8203) (multiplicity 2)
Sn (0.0038, 0.1817, 0.1860) (multiplicity 4)
Sn (0.2269, 0.4110, 0.9993) (multiplicity 4)
Sn (0.2709, 0.0921, 0.3641) (multiplicity 4)
Sn (0.3157, 0.3176, 0.8125) (multiplicity 4)
Sn (0.3657, 0.0000, 0.1803) (multiplicity 2)
Sn (0.4065, 0.4082, 0.6362) (multiplicity 4)

=====

Entry 2:
For Tl2In3Sn5, DFT lattice parameters and positions (PBE) gives the theoretical powder XRD pattern in this record (copper Kα).

The 10 most intense peaks (5 to 70 degrees two-theta), by angle:
2θ = 32.1°, d 2.788, I = 35, (3 3 -1); 2θ = 32.5°, d 2.755, I = 36, (2 0 2); 2θ = 32.9°, d 2.720, I = 100, (1 5 1); 2θ = 34.4°, d 2.606, I = 30, (2 2 -2); 2θ = 45.2°, d 2.007, I = 14, (5 3 1); 2θ = 47.5°, d 1.915, I = 12, (1 3 -3); 2θ = 49.3°, d 1.849, I = 10, (3 7 -1); 2θ = 58.3°, d 1.583, I = 13, (3 5 3); 2θ = 65.3°, d 1.428, I = 9, (7 5 -1); 2θ = 67.2°, d 1.394, I = 9, (5 5 -3)

Structural model:
Cell: 11.6137 15.6278 6.2725 Å, 90.00 90.24 90.00°
Space group C2/c (No. 15)
Asymmetric unit:
Tl (0.1271, 0.2473, 0.1306) (multiplicity 8)
In (0.0000, 0.4551, 0.2500) (multiplicity 4)
In (0.1276, 0.1480, 0.6280) (multiplicity 8)
Sn (0.0000, 0.0421, 0.2500) (multiplicity 4)
Sn (0.1221, 0.3576, 0.6283) (multiplicity 8)
Sn (0.2488, 0.0395, 0.0019) (multiplicity 8)

=====

Entry 3:
For Tl9In4Sn, DFT lattice parameters and positions (PBE) gives the theoretical powder XRD pattern in this record (copper Kα).

The 10 most intense peaks (5 to 70 degrees two-theta), by angle:
2θ = 27.1°, d 3.293, I = 38, (2 0 2); 2θ = 32.1°, d 2.784, I = 10, (3 0 0); 2θ = 32.9°, d 2.719, I = 100, (2 1 2); 2θ = 33.2°, d 2.695, I = 27, (3 0 1); 2θ = 33.4°, d 2.681, I = 22, (0 0 4); 2θ = 37.3°, d 2.411, I = 16, (2 2 0); 2θ = 54.0°, d 1.699, I = 19, (3 0 5); 2θ = 54.3°, d 1.689, I = 13, (3 2 3); 2θ = 57.3°, d 1.607, I = 10, (3 3 0); 2θ = 57.8°, d 1.595, I = 20, (5 0 2)

Structural model:
Cell: 9.6447 9.6447 10.7232 Å, 90.00 90.00 120.00°
Space group P6_3/mmc (No. 194)
Asymmetric unit:
Tl (0.0650, 0.5325, 0.2500) (multiplicity 6)
Tl (0.2031, 0.4061, 0.5332) (multiplicity 12)
In (0.0000, 0.0000, 0.0000) (multiplicity 2)
In (0.1132, 0.2263, 0.2500) (multiplicity 6)
Sn (0.3333, 0.6667, 0.7500) (multiplicity 2)

=====

Entry 4:
For TlIn9Sn2, DFT lattice parameters and positions (PBE) gives the theoretical powder XRD pattern in this record (copper Kα).

The 10 most intense peaks (5 to 70 degrees two-theta), by angle:
2θ = 31.7°, d 2.826, I = 20, (1 1 1); 2θ = 33.2°, d 2.700, I = 100, (2 2 0); 2θ = 39.7°, d 2.271, I = 11, (3 0 1); 2θ = 47.6°, d 1.910, I = 12, (4 0 1); 2θ = 52.7°, d 1.737, I = 10, (4 1 1); 2θ = 55.4°, d 1.659, I = 5, (0 0 2); 2θ = 59.3°, d 1.558, I = 24, (6 0 0); 2θ = 66.1°, d 1.413, I = 17, (2 2 2); 2θ = 68.8°, d 1.364, I = 5, (5 2 1); 2θ = 69.7°, d 1.349, I = 7, (4 4 0)

Structural model:
Cell: 10.7901 10.7901 3.3182 Å, 90.00 90.00 120.00°
Space group P6/mmm (No. 191)
Asymmetric unit:
Tl (0.0000, 0.0000, 0.0000) (multiplicity 1)
In (0.0000, 0.5000, 0.0000) (multiplicity 3)
In (0.1715, 0.3430, 0.5000) (multiplicity 6)
Sn (0.3333, 0.6667, 0.0000) (multiplicity 2)

=====

Entry 5:
For Tl15In2Sn2, DFT lattice parameters and positions (PBE) gives the theoretical powder XRD pattern in this record (copper Kα).

The 10 most intense peaks (5 to 70 degrees two-theta), by angle:
2θ = 15.4°, d 5.739, I = 46, (1 1 1); 2θ = 30.9°, d 2.892, I = 27, (0 0 3); 2θ = 31.2°, d 2.871, I = 84, (4 0 -2); 2θ = 32.0°, d 2.801, I = 47, (3 3 0); 2θ = 32.1°, d 2.784, I = 46, (1 3 -2); 2θ = 34.8°, d 2.580, I = 100, (4 2 1); 2θ = 35.1°, d 2.554, I = 92, (0 2 3); 2θ = 35.3°, d 2.541, I = 34, (4 2 -2); 2θ = 36.5°, d 2.459, I = 42, (2 4 -1); 2θ = 57.7°, d 1.598, I = 30, (2 6 2)

Structural model:
Cell: 13.4151 10.8813 8.8018 Å, 90.00 99.69 90.00°
Space group C2/m (No. 12)
Asymmetric unit:
Tl (0.0000, 0.0000, 0.0000) (multiplicity 2)
Tl (0.0000, 0.3182, 0.5000) (multiplicity 4)
Tl (0.0826, 0.2552, 0.1633) (multiplicity 8)
Tl (0.1654, 0.5000, 0.3449) (multiplicity 4)
Tl (0.1683, 0.1746, 0.8342) (multiplicity 8)
Tl (0.2500, 0.2500, 0.5000) (multiplicity 4)
In (0.0832, 0.0000, 0.4087) (multiplicity 4)
Sn (0.2443, 0.5000, 0.7745) (multiplicity 4)

=====

Entry 6:
For Tl4In5Sn6, DFT lattice parameters and positions (PBE) gives the theoretical powder XRD pattern in this record (copper Kα).

The 10 most intense peaks (5 to 70 degrees two-theta), by angle:
2θ = 28.0°, d 3.191, I = 30, (1 1 4); 2θ = 28.2°, d 3.165, I = 34, (1 5 1); 2θ = 29.5°, d 3.024, I = 19, (1 5 2); 2θ = 30.2°, d 2.956, I = 53, (0 0 6); 2θ = 31.7°, d 2.826, I = 100, (1 5 3); 2θ = 34.3°, d 2.618, I = 14, (1 7 0); 2θ = 34.4°, d 2.605, I = 16, (1 5 4); 2θ = 38.4°, d 2.347, I = 55, (2 0 0); 2θ = 42.3°, d 2.135, I = 15, (1 3 7); 2θ = 49.6°, d 1.839, I = 14, (2 0 6)

Structural model:
Cell: 4.6943 22.0766 17.7515 Å, 90.00 90.00 90.00°
Space group Cmc2_1 (No. 36)
Asymmetric unit:
Tl (0.0000, 0.0019, 0.0000) (multiplicity 4)
Tl (0.0000, 0.0396, 0.2760) (multiplicity 4)
Tl (0.0000, 0.1514, 0.8052) (multiplicity 4)
Tl (0.0000, 0.1718, 0.4491) (multiplicity 4)
In (0.0000, 0.1562, 0.1330) (multiplicity 4)
In (0.0000, 0.2982, 0.1270) (multiplicity 4)
In (0.0000, 0.3440, 0.7659) (multiplicity 4)
In (0.0000, 0.3546, 0.4746) (multiplicity 4)
In (0.0000, 0.4468, 0.1866) (multiplicity 4)
Sn (0.0000, 0.1163, 0.6148) (multiplicity 4)
Sn (0.0000, 0.2289, 0.9779) (multiplicity 4)
Sn (0.0000, 0.2415, 0.2826) (multiplicity 4)
Sn (0.0000, 0.4236, 0.9074) (multiplicity 4)
Sn (0.0000, 0.4297, 0.6193) (multiplicity 4)
Sn (0.0000, 0.4493, 0.3561) (multiplicity 4)

=====

Entry 7:
For Tl5In4Sn, DFT lattice parameters and positions (PBE) gives the theoretical powder XRD pattern in this record (copper Kα).

The 10 most intense peaks (5 to 70 degrees two-theta), by angle:
2θ = 25.6°, d 3.475, I = 20, (2 0 -3); 2θ = 30.0°, d 2.980, I = 38, (4 0 -3); 2θ = 30.3°, d 2.949, I = 28, (3 1 0); 2θ = 30.4°, d 2.937, I = 32, (2 0 3); 2θ = 31.9°, d 2.808, I = 100, (1 1 2); 2θ = 32.6°, d 2.750, I = 25, (6 0 -1); 2θ = 33.4°, d 2.683, I = 45, (6 0 0); 2θ = 37.3°, d 2.409, I = 29, (5 1 -1); 2θ = 38.9°, d 2.316, I = 39, (5 1 -2); 2θ = 53.9°, d 1.702, I = 24, (7 1 2)

Structural model:
Cell: 16.5367 3.5309 10.6416 Å, 90.00 103.27 90.00°
Space group C2/m (No. 12)
Asymmetric unit:
Tl (0.0000, 0.0000, 0.0000) (multiplicity 2)
Tl (0.1585, 0.5000, 0.7137) (multiplicity 4)
Tl (0.1834, 0.5000, 0.0782) (multiplicity 4)
In (0.0272, 0.5000, 0.2560) (multiplicity 4)
In (0.1788, 0.0000, 0.4110) (multiplicity 4)
Sn (0.0000, 0.0000, 0.5000) (multiplicity 2)

=====

Entry 8:
For Tl3In5Sn3, DFT lattice parameters and positions (PBE) gives the theoretical powder XRD pattern in this record (copper Kα).

The 10 most intense peaks (5 to 70 degrees two-theta), by angle:
2θ = 24.5°, d 3.639, I = 24, (2 1 0); 2θ = 27.8°, d 3.209, I = 35, (3 0 0); 2θ = 32.2°, d 2.780, I = 60, (1 1 1); 2θ = 33.6°, d 2.670, I = 100, (3 1 0); 2θ = 37.4°, d 2.407, I = 31, (2 1 1); 2θ = 43.0°, d 2.101, I = 38, (2 2 1); 2θ = 50.1°, d 1.820, I = 34, (3 2 1); 2θ = 57.4°, d 1.605, I = 26, (0 0 2); 2θ = 65.0°, d 1.435, I = 23, (6 0 1); 2θ = 68.2°, d 1.376, I = 25, (3 1 2)

Structural model:
Cell: 11.1168 11.1168 3.2105 Å, 90.00 90.00 120.00°
Space group P-62m (No. 189)
Asymmetric unit:
Tl (0.0000, 0.5802, 0.0000) (multiplicity 3)
In (0.0000, 0.3223, 0.5000) (multiplicity 3)
In (0.3333, 0.6667, 0.5000) (multiplicity 2)
Sn (0.0000, 0.8375, 0.5000) (multiplicity 3)